Starting from a GGA+U-relaxed structure, the powder diffractogram of MnNiP2O9 was calculated for CuKα.

Atomic structure:
Lattice parameters (Å, degrees): 6.2326 7.7440 13.8697 89.95 89.81 89.90
Element x y z (fractional)
Mn (0.0000, 0.0000, 0.0000)
Mn (0.0008, 0.2062, 0.4996)
Mn (0.4998, 0.4986, 0.7400)
Mn (0.5006, 0.7048, 0.2397)
Ni (0.2504, 0.3525, 0.1197)
Ni (0.2504, 0.8520, 0.6198)
Ni (0.7505, 0.3526, 0.1196)
Ni (0.7501, 0.8520, 0.6198)
P (0.0001, 0.5026, 0.6819)
P (0.9999, 0.9612, 0.8114)
P (0.0007, 0.2451, 0.3110)
P (0.0010, 0.7021, 0.1819)
P (0.4996, 0.0029, 0.0580)
P (0.5005, 0.2017, 0.5581)
P (0.4999, 0.4596, 0.9283)
P (0.5005, 0.7433, 0.4283)
O (0.0004, 0.0016, 0.5716)
O (0.0004, 0.1264, 0.8777)
O (0.0002, 0.3650, 0.6040)
O (0.0004, 0.3860, 0.3923)
O (0.0004, 0.6884, 0.6386)
O (0.0000, 0.8201, 0.8929)
O (0.0005, 0.8398, 0.1039)
O (0.0023, 0.0799, 0.3775)
O (0.0016, 0.5166, 0.1385)
O (0.1959, 0.4860, 0.7491)
O (0.1965, 0.7181, 0.2492)
O (0.2043, 0.9535, 0.7497)
O (0.2053, 0.2525, 0.2494)
O (0.2951, 0.4516, 0.9898)
O (0.2962, 0.7508, 0.4899)
O (0.3040, 0.9869, 0.9907)
O (0.3048, 0.2193, 0.4910)
O (0.4982, 0.6248, 0.8620)
O (0.4993, 0.1885, 0.1013)
O (0.5002, 0.0158, 0.6011)
O (0.5002, 0.3186, 0.8470)
O (0.5004, 0.3382, 0.6367)
O (0.5002, 0.5782, 0.3619)
O (0.5002, 0.7029, 0.6682)
O (0.5001, 0.8654, 0.1361)
O (0.5004, 0.8844, 0.3469)
O (0.5014, 0.5009, 0.1673)
O (0.6970, 0.2188, 0.4908)
O (0.6966, 0.9875, 0.9907)
O (0.7038, 0.4531, 0.9895)
O (0.7044, 0.7508, 0.4895)
O (0.7960, 0.9536, 0.7501)
O (0.7968, 0.2521, 0.2498)
O (0.8036, 0.4864, 0.7492)
O (0.8040, 0.7174, 0.2491)
O (0.9994, 0.2041, 0.0722)

Peak list (10 most intense, 2θ from 10° to 80°, by intensity)
two_theta  d/Å  Rel. int.
12.77  6.935  100
23.86  3.729  90
31.61  2.830  79
17.16  5.166  78
19.37  4.583  76
22.37  3.974  73
30.10  2.968  35
13.09  6.761  35
18.27  4.855  34
34.34  2.611  31

***

Starting from a GGA+U-relaxed structure, the powder diffractogram of ZnNiF5 was calculated for CuKα.

Atomic structure:
Lattice parameters (Å, degrees): 5.1810 5.1811 7.4313 98.27 108.36 109.96
Element x y z (fractional)
Zn (0.0000, 0.0000, 0.0000)
Zn (0.4216, 0.9215, 0.4992)
Ni (0.2129, 0.4616, 0.7493)
Ni (0.7100, 0.4604, 0.2497)
F (0.0769, 0.5733, 0.4981)
F (0.1185, 0.7228, 0.8772)
F (0.3109, 0.2008, 0.6268)
F (0.3442, 0.3472, 0.0006)
F (0.4626, 0.1423, 0.2907)
F (0.5693, 0.7522, 0.7915)
F (0.5758, 0.6774, 0.3798)
F (0.8437, 0.2430, 0.1195)
F (0.8553, 0.1722, 0.7048)
F (0.9536, 0.7779, 0.2078)

Peak list (10 most intense, 2θ from 10° to 80°, by intensity)
two_theta  d/Å  Rel. int.
27.86  3.203  100
23.56  3.776  85
30.06  2.973  35
47.84  1.901  26
52.03  1.758  26
48.19  1.888  24
57.82  1.595  17
56.79  1.621  14
56.38  1.632  13
57.55  1.601  13

***

Starting from a GGA+U-relaxed structure, the powder diffractogram of SrV2P4O14 was calculated for CuKα.

Atomic structure:
Lattice parameters (Å, degrees): 4.8904 7.1924 8.0672 89.48 87.14 73.99
Element x y z (fractional)
Sr (0.0000, 0.0000, 0.0000)
V (0.0000, 0.0000, 0.5000)
V (0.5000, 0.5000, 0.0000)
P (0.0176, 0.3875, 0.2487)
P (0.3838, 0.2229, 0.7071)
P (0.6162, 0.7771, 0.2929)
P (0.9824, 0.6125, 0.7513)
O (0.0800, 0.2112, 0.3580)
O (0.1318, 0.6538, 0.9074)
O (0.1789, 0.0935, 0.7107)
O (0.2067, 0.4388, 0.6532)
O (0.2838, 0.4503, 0.2024)
O (0.3792, 0.8318, 0.4258)
O (0.4835, 0.2345, 0.8860)
O (0.5165, 0.7655, 0.1140)
O (0.6208, 0.1682, 0.5742)
O (0.7162, 0.5497, 0.7976)
O (0.7933, 0.5612, 0.3468)
O (0.8211, 0.9065, 0.2893)
O (0.8682, 0.3462, 0.0926)
O (0.9200, 0.7888, 0.6420)

Peak list (10 most intense, 2θ from 10° to 80°, by intensity)
two_theta  d/Å  Rel. int.
29.08  3.071  100
23.04  3.859  76
25.69  3.467  50
30.41  2.939  50
28.14  3.172  49
27.62  3.229  48
25.54  3.488  39
18.90  4.695  32
33.40  2.683  26
16.86  5.258  26

***

Starting from a GGA+U-relaxed structure, the powder diffractogram of Na5LiFe2P2C2O14 was calculated for CuKα.

Atomic structure:
Lattice parameters (Å, degrees): 8.9831 6.6163 10.3866 90.00 91.02 90.00
Element x y z (fractional)
Na (0.0830, 0.0000, 0.1191)
Na (0.0827, 0.0026, 0.6204)
Na (0.2601, 0.7520, 0.8754)
Na (0.2605, 0.2493, 0.3756)
Na (0.2608, 0.7511, 0.3758)
Na (0.7392, 0.2511, 0.6242)
Na (0.7395, 0.7493, 0.6244)
Na (0.7399, 0.2520, 0.1246)
Na (0.9170, 0.5000, 0.8809)
Na (0.9173, 0.5026, 0.3796)
Li (0.2689, 0.2465, 0.8769)
Li (0.7311, 0.7465, 0.1231)
Fe (0.3554, 0.4982, 0.1065)
Fe (0.3554, 0.5001, 0.6086)
Fe (0.6446, 0.0001, 0.3914)
Fe (0.6446, 0.9982, 0.8935)
P (0.4120, 0.0030, 0.6510)
P (0.4158, 0.9964, 0.1489)
P (0.5842, 0.4964, 0.8511)
P (0.5880, 0.5030, 0.3490)
C (0.0565, 0.5049, 0.1332)
C (0.0606, 0.4982, 0.6353)
C (0.9394, 0.9982, 0.3647)
C (0.9435, 0.0049, 0.8668)
O (0.0826, 0.0001, 0.3569)
O (0.0874, 0.0167, 0.8602)
O (0.1213, 0.4990, 0.0215)
O (0.1233, 0.5004, 0.5226)
O (0.1394, 0.4983, 0.2375)
O (0.1448, 0.4945, 0.7390)
O (0.3180, 0.1885, 0.6057)
O (0.3184, 0.8130, 0.6118)
O (0.3190, 0.8102, 0.1087)
O (0.3244, 0.1849, 0.1027)
O (0.4274, 0.4869, 0.9108)
O (0.4292, 0.0111, 0.8013)
O (0.4326, 0.0021, 0.2986)
O (0.4336, 0.5002, 0.4118)
O (0.5664, 0.0002, 0.5882)
O (0.5674, 0.5021, 0.7014)
O (0.5708, 0.5111, 0.1987)
O (0.5726, 0.9869, 0.0892)
O (0.6756, 0.6849, 0.8973)
O (0.6810, 0.3102, 0.8913)
O (0.6816, 0.3130, 0.3882)
O (0.6820, 0.6885, 0.3943)
O (0.8552, 0.9945, 0.2610)
O (0.8606, 0.9983, 0.7625)
O (0.8767, 0.0004, 0.4774)
O (0.8787, 0.9990, 0.9785)
O (0.9126, 0.5167, 0.1398)
O (0.9174, 0.5001, 0.6431)

Peak list (10 most intense, 2θ from 10° to 80°, by intensity)
two_theta  d/Å  Rel. int.
26.95  3.308  100
33.68  2.661  77
34.55  2.596  68
42.17  2.143  40
49.03  1.858  38
33.54  2.672  38
29.80  2.998  36
19.60  4.530  33
26.00  3.427  29
55.56  1.654  29

***

Question: Which formula does entry 4 have?
Answer: Na5LiFe2P2C2O14